For Li2PWO4F, the GGA+U geometry in Alexandria gives the simulated XRD peak list in this record (Cu Kα (λ = 1.5418 Å)).
No peak broadening, texture or thermal motion is included.

Cell and atoms:
abc: 5.191 5.851 7.704
angles: 75.00 77.61 83.03
Sites, in units of the cell vectors:
Li 0.000 0.000 0.000
Li 0.085 0.359 0.281
Li 0.518 0.231 0.035
Li 0.694 0.267 0.591
P 0.280 0.034 0.636
P 0.578 0.663 0.203
W 0.004 0.522 0.797
W 0.922 0.780 0.450
O 0.091 0.081 0.494
O 0.174 0.838 0.809
O 0.275 0.640 0.274
O 0.297 0.269 0.690
O 0.565 0.971 0.548
O 0.660 0.919 0.158
O 0.661 0.550 0.036
O 0.736 0.520 0.359
F 0.149 0.244 0.070
F 0.784 0.225 0.827

Largest 10 diffraction maxima, sorted by position, 15° ≤ 2θ ≤ 90°:
2theta	I (rel.)	h k l
15.72	55	0 1 0
17.41	61	0 1 1
17.53	85	1 0 0
22.17	69	1 1 1
22.79	32	1 1 0
23.22	33	1 0 -1
27.20	100	-1 1 1
32.25	32	0 1 -2
33.56	38	1 2 1
36.88	43	0 0 3